# 1
Zr3Rh: calculated powder diffraction line list (a wavelength of 1.5418 Å), based on a structure optimized by DFT (GGA-PBE).
No peak broadening, texture or thermal motion is included.

Lattice parameters (Å, degrees): 4.026 4.026 10.069 90.00 90.00 90.00
Fractional coordinates of all 8 atoms:
Zr 0.000 0.000 0.000
Zr 0.000 0.500 0.250
Zr 0.000 0.500 0.750
Zr 0.500 0.000 0.250
Zr 0.500 0.000 0.750
Zr 0.500 0.500 0.500
Rh 0.000 0.000 0.500
Rh 0.500 0.500 0.000

Top 9 peaks for 2θ from 10° to 80°, low angle first:
two_theta, d_spacing, I/Imax, (hkl)
35.7, 2.517, 26, 0 0 4
36.3, 2.478, 100, 1 1 2
45.0, 2.013, 27, 2 0 0
58.7, 1.572, 24, 2 0 4
64.5, 1.446, 18, 1 1 6
65.6, 1.423, 8, 2 2 0
75.5, 1.259, 3, 0 0 8
77.0, 1.239, 10, 2 2 4
77.3, 1.234, 21, 3 1 2



# 2
Na3CaAl3Si3CO15: calculated powder diffraction line list (a wavelength of 1.5418 Å), based on a structure optimized by DFT (GGA-PBE).
No peak broadening, texture or thermal motion is included.

Lattice parameters (Å, degrees): 12.122 12.122 5.750 90.00 90.00 120.00
Fractional coordinates of all 52 atoms:
Na 0.065 0.526 0.000
Na 0.461 0.935 0.000
Na 0.474 0.539 0.000
Na 0.526 0.461 0.500
Na 0.539 0.065 0.500
Na 0.935 0.474 0.500
Ca 0.333 0.667 0.405
Ca 0.667 0.333 0.905
Al 0.037 0.750 0.010
Al 0.250 0.287 0.010
Al 0.287 0.037 0.510
Al 0.713 0.963 0.010
Al 0.750 0.713 0.510
Al 0.963 0.250 0.510
Si 0.037 0.745 0.510
Si 0.255 0.292 0.510
Si 0.292 0.037 0.010
Si 0.708 0.963 0.510
Si 0.745 0.708 0.010
Si 0.963 0.255 0.010
C 0.333 0.667 0.011
C 0.667 0.333 0.511
O 0.041 0.665 0.747
O 0.042 0.665 0.273
O 0.092 0.247 0.008
O 0.120 0.285 0.510
O 0.156 0.908 0.008
O 0.166 0.880 0.510
O 0.247 0.156 0.508
O 0.261 0.544 0.034
O 0.283 0.739 0.034
O 0.285 0.166 0.010
O 0.335 0.376 0.747
O 0.335 0.378 0.273
O 0.376 0.041 0.247
O 0.378 0.042 0.773
O 0.456 0.717 0.034
O 0.544 0.283 0.534
O 0.622 0.958 0.273
O 0.624 0.959 0.747
O 0.665 0.622 0.773
O 0.665 0.624 0.247
O 0.715 0.834 0.510
O 0.717 0.261 0.534
O 0.739 0.456 0.534
O 0.753 0.844 0.008
O 0.834 0.120 0.010
O 0.844 0.092 0.508
O 0.880 0.715 0.010
O 0.908 0.753 0.508
O 0.958 0.335 0.773
O 0.959 0.335 0.247

Top 10 peaks for 2θ from 10° to 80°, low angle first:
two_theta, d_spacing, I/Imax, (hkl)
14.6, 6.061, 54, 1 1 0
16.9, 5.249, 38, 2 0 0
17.6, 5.043, 28, 1 0 1
22.4, 3.968, 100, 1 2 0
25.5, 3.499, 67, 3 0 0
27.3, 3.266, 20, 2 1 1
31.1, 2.875, 55, 0 0 2
38.7, 2.328, 35, 2 1 2
46.9, 1.938, 34, 4 0 2
76.0, 1.252, 22, 7 1 2